1.
Calculated X-ray diffraction stick pattern of Cs3GaBr6 for Cu Kα, 1.54184 Å, from a DFT-relaxed cell (PBE, the Materials Project).
Lines closer than 0.1° are merged.

Atomic structure:
Cell lengths 11.947, 11.947, 11.947 Å; angles 90.00, 90.00, 90.00 degrees
Space group Fm-3m (No. 225)
Asymmetric unit:
Cs 0.000 0.000 0.000 x4
Cs 0.250 0.250 0.250 x8
Ga 0.000 0.000 0.500 x4
Br 0.000 0.000 0.284 x24

Most intense lines, 2θ = 10–90°, in order of falling intensity:
| 2θ (°) | intensity |
| --- | --- |
| 29.9 | 100 |
| 42.8 | 64 |
| 21.0 | 64 |
| 25.8 | 62 |
| 48.2 | 24 |
| 57.7 | 21 |
| 36.9 | 21 |
| 70.5 | 21 |
| 53.1 | 20 |
| 32.7 | 19 |
| 50.7 | 17 |
| 39.2 | 16 |

***

2.
Calculated X-ray diffraction stick pattern of Cu3AsO7 for Cu Kα, 1.54184 Å, from a DFT-relaxed cell (PBE, the Materials Project).
Lines closer than 0.1° are merged.

Atomic structure:
Cell lengths 5.258, 5.378, 5.649 Å; angles 89.84, 66.42, 89.71 degrees
Space group P1 (No. 1)
Asymmetric unit:
Cu 0.000 0.000 0.000 x1
Cu 0.001 0.001 0.501 x1
Cu 0.997 0.505 0.259 x1
As 0.636 0.538 0.870 x1
O 0.158 0.187 0.195 x1
O 0.175 0.145 0.685 x1
O 0.297 0.646 0.981 x1
O 0.709 0.369 0.085 x1
O 0.721 0.395 0.575 x1
O 0.829 0.823 0.809 x1
O 0.842 0.829 0.313 x1

Most intense lines, 2θ = 10–90°, in order of falling intensity:
| 2θ (°) | intensity |
| --- | --- |
| 18.4 | 100 |
| 24.9 | 44 |
| 36.2 | 35 |
| 33.3 | 34 |
| 19.5 | 33 |
| 38.6 | 30 |
| 24.8 | 26 |
| 34.4 | 18 |
| 38.4 | 18 |
| 25.7 | 17 |
| 64.9 | 16 |
| 25.6 | 16 |

***

3.
Calculated X-ray diffraction stick pattern of Tb3Th for Cu Kα, 1.54184 Å, from a DFT-relaxed cell (PBE, the Materials Project).
Lines closer than 0.1° are merged.

Atomic structure:
Cell lengths 5.076, 5.076, 10.010 Å; angles 90.00, 90.00, 90.00 degrees
Space group I4/mmm (No. 139)
Asymmetric unit:
Tb 0.000 0.000 0.000 x2
Tb 0.000 0.500 0.250 x4
Th 0.000 0.000 0.500 x2

Most intense lines, 2θ = 10–90°, in order of falling intensity:
| 2θ (°) | intensity |
| --- | --- |
| 30.7 | 100 |
| 35.4 | 34 |
| 60.6 | 29 |
| 51.3 | 24 |
| 35.9 | 16 |
| 61.3 | 14 |
| 63.8 | 13 |
| 50.9 | 12 |
| 83.6 | 12 |
| 83.0 | 6 |
| 85.6 | 6 |
| 85.9 | 6 |

***

4.
Calculated X-ray diffraction stick pattern of Sn2OF5 for Cu Kα, 1.54184 Å, from a DFT-relaxed cell (PBE, the Materials Project).
Lines closer than 0.1° are merged.

Atomic structure:
Cell lengths 9.360, 6.785, 8.482 Å; angles 90.00, 116.69, 90.00 degrees
Space group C2/m (No. 12)
Asymmetric unit:
Sn 0.000 0.000 0.000 x2
Sn 0.000 0.000 0.500 x2
Sn 0.026 0.500 0.323 x4
O 0.000 0.306 0.500 x4
F 0.082 0.291 0.197 x8
F 0.102 0.000 0.760 x4
F 0.204 0.500 0.853 x4
F 0.223 0.000 0.502 x4

Most intense lines, 2θ = 10–90°, in order of falling intensity:
| 2θ (°) | intensity |
| --- | --- |
| 24.8 | 100 |
| 21.2 | 94 |
| 26.3 | 61 |
| 32.9 | 42 |
| 34.0 | 30 |
| 50.6 | 30 |
| 11.7 | 26 |
| 50.7 | 26 |
| 32.8 | 26 |
| 42.0 | 21 |
| 45.4 | 21 |
| 51.3 | 16 |

***

5.
Calculated X-ray diffraction stick pattern of NaInGe2O6 for Cu Kα, 1.54184 Å, from a DFT-relaxed cell (PBE, the Materials Project).
Lines closer than 0.1° are merged.

Atomic structure:
Cell lengths 10.444, 9.336, 5.699 Å; angles 90.00, 107.65, 90.00 degrees
Space group C2/c (No. 15)
Asymmetric unit:
Na 0.000 0.196 0.250 x4
In 0.000 0.398 0.750 x4
Ge 0.210 0.090 0.758 x8
O 0.112 0.419 0.141 x8
O 0.142 0.017 0.985 x8
O 0.142 0.258 0.671 x8

Most intense lines, 2θ = 10–90°, in order of falling intensity:
| 2θ (°) | intensity |
| --- | --- |
| 27.9 | 100 |
| 33.0 | 70 |
| 28.6 | 54 |
| 33.9 | 54 |
| 13.0 | 31 |
| 62.0 | 27 |
| 18.7 | 26 |
| 19.0 | 19 |
| 52.9 | 19 |
| 52.1 | 19 |
| 23.0 | 15 |
| 41.1 | 13 |

***

6.
Calculated X-ray diffraction stick pattern of PrTe2 for Cu Kα, 1.54184 Å, from a DFT-relaxed cell (PBE, the Materials Project).
Lines closer than 0.1° are merged.

Atomic structure:
Cell lengths 4.525, 4.525, 9.247 Å; angles 90.00, 90.00, 90.00 degrees
Space group P4/nmm (No. 129, origin choice 2)
Asymmetric unit:
Pr 0.250 0.250 0.228 x2
Te 0.250 0.250 0.869 x2
Te 0.250 0.750 0.500 x2

Most intense lines, 2θ = 10–90°, in order of falling intensity:
| 2θ (°) | intensity |
| --- | --- |
| 29.5 | 100 |
| 34.1 | 95 |
| 39.8 | 65 |
| 35.2 | 52 |
| 29.0 | 39 |
| 50.0 | 34 |
| 54.2 | 30 |
| 57.6 | 28 |
| 68.7 | 24 |
| 27.9 | 22 |
| 66.1 | 20 |
| 27.6 | 16 |

***

7.
Calculated X-ray diffraction stick pattern of In9Cu4Se16 for Cu Kα, 1.54184 Å, from a DFT-relaxed cell (PBE, the Materials Project).
Lines closer than 0.1° are merged.

Atomic structure:
Cell lengths 11.851, 11.851, 11.851 Å; angles 90.00, 90.00, 90.00 degrees
Space group P-43m (No. 215)
Asymmetric unit:
In 0.000 0.000 0.260 x6
In 0.000 0.269 0.500 x12
Cu 0.257 0.257 0.257 x4
Cu 0.271 0.271 0.729 x4
Se 0.135 0.135 0.135 x4
Se 0.139 0.139 0.631 x12
Se 0.149 0.382 0.382 x12
Se 0.380 0.380 0.620 x4

Most intense lines, 2θ = 10–90°, in order of falling intensity:
| 2θ (°) | intensity |
| --- | --- |
| 26.0 | 100 |
| 43.2 | 67 |
| 51.1 | 38 |
| 79.2 | 15 |
| 22.5 | 14 |
| 69.1 | 13 |
| 38.0 | 11 |
| 62.7 | 9 |
| 85.1 | 8 |
| 43.9 | 8 |
| 75.7 | 6 |
| 49.2 | 6 |

***

8.
Calculated X-ray diffraction stick pattern of TiSn9O20 for Cu Kα, 1.54184 Å, from a DFT-relaxed cell (PBE, the Materials Project).
Lines closer than 0.1° are merged.

Atomic structure:
Cell lengths 14.571, 6.807, 7.535 Å; angles 90.00, 92.59, 90.00 degrees
Space group C2/m (No. 12)
Asymmetric unit:
Ti 0.000 0.000 0.000 x2
Sn 0.000 0.000 0.500 x2
Sn 0.099 0.500 0.098 x4
Sn 0.101 0.500 0.599 x4
Sn 0.198 0.000 0.199 x4
Sn 0.199 0.000 0.702 x4
O 0.000 0.299 0.000 x4
O 0.038 0.500 0.344 x4
O 0.057 0.000 0.246 x4
O 0.100 0.194 0.597 x8
O 0.132 0.000 0.944 x4
O 0.162 0.500 0.855 x4
O 0.200 0.306 0.198 x8
O 0.240 0.500 0.545 x4

Most intense lines, 2θ = 10–90°, in order of falling intensity:
| 2θ (°) | intensity |
| --- | --- |
| 26.2 | 100 |
| 33.5 | 80 |
| 51.0 | 70 |
| 37.3 | 23 |
| 64.9 | 22 |
| 64.0 | 17 |
| 60.8 | 16 |
| 89.2 | 14 |
| 88.4 | 13 |
| 82.5 | 10 |
| 70.3 | 9 |
| 53.9 | 9 |